Calculated PXRD pattern
Compound: PmMg4Hg2
Radiation: λ = 1.5418 Å (Cu Kα)
Structure: the PBE geometry in Alexandria
No peak broadening, texture or thermal motion is included.

Most intense lines, 15 to 90 degrees two-theta, sorted by position:
two_theta  I/Imax
21.04  28
24.26  100
29.92  56
30.49  69
37.34  40
38.73  29
38.89  67
44.22  25
49.70  28
62.50  29

Structural model:
abc: 8.4456 8.4456 4.6503
angles: 90.00 90.00 90.00
Fractional coordinates of all 14 atoms:
1 Pm 0.0000 0.0000 0.0000
2 Pm 0.5000 0.5000 0.5000
3 Mg 0.0937 0.3426 0.5000
4 Mg 0.1574 0.5937 0.0000
5 Mg 0.3426 0.0937 0.5000
6 Mg 0.4063 0.8426 0.0000
7 Mg 0.5937 0.1574 0.0000
8 Mg 0.6574 0.9063 0.5000
9 Mg 0.8426 0.4063 0.0000
10 Mg 0.9063 0.6574 0.5000
11 Hg 0.2138 0.7862 0.5000
12 Hg 0.2862 0.2862 0.0000
13 Hg 0.7138 0.7138 0.0000
14 Hg 0.7862 0.2138 0.5000